Entry 1:
For Tl3Mo2, a crystal structure in Alexandria, relaxed with PBE gives the simulated powder X-ray diffraction pattern in this record (Cu Kα X-rays).
Lines closer than 0.1° are merged.

Structure:
a b c (Å): 10.105 7.604 12.430
angles (deg): 54.34 37.69 87.98
Fractional positions:
1 Tl 0.000 0.000 0.000
2 Tl 0.182 0.694 0.598
3 Tl 0.250 0.250 0.250
4 Tl 0.652 0.724 0.068
5 Tl 0.694 0.182 0.526
6 Tl 0.724 0.652 0.556
7 Mo 0.140 0.783 0.824
8 Mo 0.426 0.998 0.110
9 Mo 0.783 0.140 0.252
10 Mo 0.998 0.426 0.467

Main lines, by angle (2θ = 5–70°):
Position (°2θ), d/Å, I/Imax
30.02, 2.977, 100
30.88, 2.895, 91
32.97, 2.717, 28
35.87, 2.504, 49
36.04, 2.492, 37
37.45, 2.401, 21
38.09, 2.363, 23
41.18, 2.192, 41
43.22, 2.093, 22
52.47, 1.744, 23
53.15, 1.723, 20
56.58, 1.627, 22


Entry 2:
For TlMo3, a crystal structure in Alexandria, relaxed with PBE gives the simulated powder X-ray diffraction pattern in this record (Cu Kα X-rays).
Lines closer than 0.1° are merged.

Structure:
a b c (Å): 3.047 4.029 5.861
angles (deg): 90.00 90.00 90.00
Fractional positions:
1 Tl 0.000 0.000 0.000
2 Mo 0.000 0.000 0.500
3 Mo 0.500 0.500 0.296
4 Mo 0.500 0.500 0.704

Main lines, by angle (2θ = 5–70°):
Position (°2θ), d/Å, I/Imax
22.06, 4.029, 7
26.85, 3.320, 23
33.13, 2.704, 14
36.99, 2.430, 100
37.97, 2.370, 81
42.81, 2.112, 58
45.00, 2.014, 29
46.48, 1.954, 7
48.67, 1.871, 7
57.01, 1.615, 6
60.81, 1.523, 24
63.85, 1.458, 35


Entry 3:
For U6Mo, a crystal structure in Alexandria, relaxed with PBE gives the simulated powder X-ray diffraction pattern in this record (Cu Kα X-rays).
Lines closer than 0.1° are merged.

Structure:
a b c (Å): 7.071 7.071 7.071
angles (deg): 90.00 90.00 90.00
Fractional positions:
1 U 0.000 0.250 0.500
2 U 0.000 0.500 0.250
3 U 0.000 0.500 0.750
4 U 0.000 0.750 0.500
5 U 0.250 0.000 0.500
6 U 0.250 0.500 0.000
7 U 0.500 0.000 0.250
8 U 0.500 0.000 0.750
9 U 0.500 0.250 0.000
10 U 0.500 0.750 0.000
11 U 0.750 0.000 0.500
12 U 0.750 0.500 0.000
13 Mo 0.000 0.000 0.000
14 Mo 0.500 0.500 0.500

Main lines, by angle (2θ = 5–70°):
Position (°2θ), d/Å, I/Imax
17.74, 5.000, 76
25.19, 3.536, 42
30.98, 2.887, 100
35.92, 2.500, 14
40.34, 2.236, 21
44.38, 2.041, 67
48.15, 1.890, 60
51.71, 1.768, 43
55.10, 1.667, 13
58.36, 1.581, 17
61.51, 1.508, 15
67.55, 1.387, 15


Entry 4:
For UVMoW, a crystal structure in Alexandria, relaxed with PBE gives the simulated powder X-ray diffraction pattern in this record (Cu Kα X-rays).
Lines closer than 0.1° are merged.

Structure:
a b c (Å): 6.444 6.444 6.444
angles (deg): 90.00 90.00 90.00
Fractional positions:
1 U 0.000 0.000 0.000
2 U 0.000 0.500 0.500
3 U 0.500 0.000 0.500
4 U 0.500 0.500 0.000
5 V 0.250 0.250 0.750
6 V 0.250 0.750 0.250
7 V 0.750 0.250 0.250
8 V 0.750 0.750 0.750
9 Mo 0.250 0.250 0.250
10 Mo 0.250 0.750 0.750
11 Mo 0.750 0.250 0.750
12 Mo 0.750 0.750 0.250
13 W 0.000 0.000 0.500
14 W 0.000 0.500 0.000
15 W 0.500 0.000 0.000
16 W 0.500 0.500 0.500

Main lines, by angle (2θ = 5–70°):
Position (°2θ), d/Å, I/Imax
23.92, 3.721, 3
27.69, 3.222, 27
39.55, 2.278, 100
46.75, 1.943, 2
48.96, 1.860, 8
57.18, 1.611, 17
62.86, 1.478, 1
64.69, 1.441, 12


Entry 5:
For UZn17Mo, a crystal structure in Alexandria, relaxed with PBE gives the simulated powder X-ray diffraction pattern in this record (Cu Kα X-rays).
Lines closer than 0.1° are merged.

Structure:
a b c (Å): 6.726 6.726 6.726
angles (deg): 82.19 82.19 82.19
Fractional positions:
1 U 0.000 0.000 0.000
2 Zn 0.032 0.341 0.632
3 Zn 0.032 0.632 0.341
4 Zn 0.214 0.684 0.684
5 Zn 0.242 0.242 0.242
6 Zn 0.316 0.316 0.855
7 Zn 0.316 0.855 0.316
8 Zn 0.341 0.032 0.632
9 Zn 0.341 0.632 0.032
10 Zn 0.439 0.439 0.439
11 Zn 0.537 0.956 0.956
12 Zn 0.632 0.032 0.341
13 Zn 0.632 0.341 0.032
14 Zn 0.684 0.214 0.684
15 Zn 0.684 0.684 0.214
16 Zn 0.855 0.316 0.316
17 Zn 0.956 0.537 0.956
18 Zn 0.956 0.956 0.537
19 Mo 0.650 0.650 0.650

Main lines, by angle (2θ = 5–70°):
Position (°2θ), d/Å, I/Imax
17.79, 4.986, 10
28.69, 3.111, 21
33.84, 2.649, 18
35.16, 2.552, 40
36.03, 2.493, 23
40.82, 2.210, 42
40.92, 2.205, 100
41.23, 2.190, 24
41.69, 2.166, 30
45.99, 1.973, 15
59.18, 1.561, 10
63.73, 1.460, 10


Entry 6:
For V3Mo4, a crystal structure in Alexandria, relaxed with PBE gives the simulated powder X-ray diffraction pattern in this record (Cu Kα X-rays).
Lines closer than 0.1° are merged.

Structure:
a b c (Å): 6.897 6.897 6.897
angles (deg): 113.53 113.53 113.53
Fractional positions:
1 V 0.074 0.786 0.644
2 V 0.214 0.356 0.926
3 V 0.356 0.926 0.214
4 V 0.644 0.074 0.786
5 V 0.786 0.644 0.074
6 V 0.926 0.214 0.356
7 Mo 0.000 0.000 0.000
8 Mo 0.140 0.572 0.284
9 Mo 0.284 0.140 0.572
10 Mo 0.428 0.716 0.860
11 Mo 0.500 0.500 0.500
12 Mo 0.572 0.284 0.140
13 Mo 0.716 0.860 0.428
14 Mo 0.860 0.428 0.716

Main lines, by angle (2θ = 5–70°):
Position (°2θ), d/Å, I/Imax
15.36, 5.769, 2
18.77, 4.726, 1
24.35, 3.656, 1
26.77, 3.331, 1
28.91, 3.088, 19
41.28, 2.187, 100
41.41, 2.180, 99
51.08, 1.788, 1
51.29, 1.781, 4
59.90, 1.544, 31
67.77, 1.383, 4
67.95, 1.379, 4


Entry 7:
For VMo2, a crystal structure in Alexandria, relaxed with PBE gives the simulated powder X-ray diffraction pattern in this record (Cu Kα X-rays).
Lines closer than 0.1° are merged.

Structure:
a b c (Å): 2.733 4.381 7.546
angles (deg): 90.00 90.28 90.00
Fractional positions:
1 V 0.172 0.250 0.419
2 V 0.828 0.750 0.581
3 Mo 0.167 0.750 0.913
4 Mo 0.498 0.250 0.742
5 Mo 0.502 0.750 0.258
6 Mo 0.833 0.250 0.087

Main lines, by angle (2θ = 5–70°):
Position (°2θ), d/Å, I/Imax
11.73, 7.546, 19
23.48, 3.789, 4
23.58, 3.773, 2
31.29, 2.859, 10
34.97, 2.566, 3
38.84, 2.319, 3
40.66, 2.219, 100
40.87, 2.208, 48
41.21, 2.191, 48
41.39, 2.181, 93
59.42, 1.555, 46
63.72, 1.460, 2


Entry 8:
For V7Mo3, a crystal structure in Alexandria, relaxed with PBE gives the simulated powder X-ray diffraction pattern in this record (Cu Kα X-rays).
Lines closer than 0.1° are merged.

Structure:
a b c (Å): 8.265 8.265 5.111
angles (deg): 90.00 90.00 120.00
Fractional positions:
1 V 0.000 0.500 0.000
2 V 0.000 0.500 0.500
3 V 0.123 0.246 0.250
4 V 0.123 0.877 0.250
5 V 0.246 0.123 0.750
6 V 0.333 0.667 0.250
7 V 0.500 0.000 0.000
8 V 0.500 0.000 0.500
9 V 0.500 0.500 0.000
10 V 0.500 0.500 0.500
11 V 0.667 0.333 0.750
12 V 0.754 0.877 0.250
13 V 0.877 0.123 0.750
14 V 0.877 0.754 0.750
15 Mo 0.218 0.436 0.750
16 Mo 0.218 0.782 0.750
17 Mo 0.436 0.218 0.250
18 Mo 0.564 0.782 0.750
19 Mo 0.782 0.218 0.250
20 Mo 0.782 0.564 0.250

Main lines, by angle (2θ = 5–70°):
Position (°2θ), d/Å, I/Imax
12.37, 7.157, 21
21.36, 4.159, 33
30.49, 2.931, 15
35.12, 2.555, 23
37.65, 2.389, 61
41.78, 2.162, 100
43.52, 2.080, 70
43.82, 2.066, 22
45.70, 1.985, 18
49.04, 1.858, 18
67.57, 1.386, 22
68.05, 1.378, 18


Q: Which formula does entry 4 have?
A: UVMoW


Q: What is the formula in the sixth record?
A: V3Mo4